Record 1
Calculated powder diffractogram of Sr3BiH2 for Cu Kα (λ = 1.5418 Å), from a structure optimized by DFT (PBE).
Intensities are scaled so that the largest is 100.

Cell and atoms:
```
data_Sr3BiH2
_chemical_formula_sum 'Sr12 Bi4 H8'
_space_group_name_H-M_alt 'C 1 2/m 1'
_space_group_IT_number 12
_space_group_name_Hall '-C 2y'
_cell_length_a 24.2692
_cell_length_b 4.5900
_cell_length_c 6.7070
_cell_angle_alpha 90.00
_cell_angle_beta 104.51
_cell_angle_gamma 90.00
loop_
_atom_site_label
_atom_site_fract_x
_atom_site_fract_y
_atom_site_fract_z
_atom_site_occupancy
Sr1 0.0481 0.0000 0.2716 1
Sr2 0.1026 0.5000 0.8616 1
Sr3 0.2279 0.0000 0.2259 1
Bi1 0.1480 0.5000 0.4150 1
H1 0.0616 0.0000 0.9030 1
H2 0.2087 0.5000 0.0074 1
```

Principal peaks in the range 2θ = 10–90°, by angle:
d [Å]	2θ (°)	Rel. int.
6.402	13.83	56
3.960	22.45	100
3.352	26.59	45
3.204	27.85	42
3.161	28.23	89
3.034	29.44	42
2.879	31.07	42
2.708	33.07	66
2.576	34.82	80
2.295	39.26	45

---

Record 2
Calculated powder diffractogram of AcBeAl for Cu Kα (λ = 1.5418 Å), from a structure optimized by DFT (PBE).
Intensities are scaled so that the largest is 100.

Cell and atoms:
```
data_AcBeAl
_chemical_formula_sum 'Ac4 Be4 Al4'
_space_group_name_H-M_alt 'I 41 m d'
_space_group_IT_number 109
_space_group_name_Hall 'I 4bw -2'
_cell_length_a 4.4112
_cell_length_b 4.4112
_cell_length_c 15.1380
_cell_angle_alpha 90.00
_cell_angle_beta 90.00
_cell_angle_gamma 90.00
loop_
_atom_site_label
_atom_site_fract_x
_atom_site_fract_y
_atom_site_fract_z
_atom_site_occupancy
Ac1 0.0000 0.0000 0.0000 1
Be1 0.0000 0.0000 0.4143 1
Al1 0.0000 0.0000 0.5827 1
```

Principal peaks in the range 2θ = 10–90°, by angle:
d [Å]	2θ (°)	Rel. int.
4.235	20.98	82
3.784	23.51	36
3.321	26.84	62
2.884	31.01	100
2.496	35.98	37
2.206	40.92	27
1.956	46.42	22
1.906	47.73	23
1.837	49.62	24
1.653	55.60	22

---

Record 3
Calculated powder diffractogram of Mn2Be2V for Cu Kα (λ = 1.5418 Å), from a structure optimized by DFT (PBE).
Intensities are scaled so that the largest is 100.

Cell and atoms:
```
data_Mn2Be2V
_chemical_formula_sum 'Mn4 Be4 V2'
_space_group_name_H-M_alt 'P 4/m b m'
_space_group_IT_number 127
_space_group_name_Hall '-P 4 2ab'
_cell_length_a 5.9583
_cell_length_b 5.9583
_cell_length_c 2.8331
_cell_angle_alpha 90.00
_cell_angle_beta 90.00
_cell_angle_gamma 90.00
loop_
_atom_site_label
_atom_site_fract_x
_atom_site_fract_y
_atom_site_fract_z
_atom_site_occupancy
Mn1 0.1758 0.3242 0.0000 1
Be1 0.1196 0.6196 0.5000 1
V1 0.0000 0.0000 0.5000 1
```

Principal peaks in the range 2θ = 10–90°, by angle:
d [Å]	2θ (°)	Rel. int.
2.665	33.63	84
2.351	38.28	49
2.107	42.93	32
2.053	44.11	100
1.941	46.80	94
1.884	48.30	60
1.445	64.48	20
1.287	73.58	24
1.258	75.57	30
1.132	85.82	20